Simulated powder XRD pattern
Compound: NdMn2O4
Radiation: copper Kα
Structure: the PBE+U geometry in Alexandria
Neutral-atom scattering factors, no anomalous dispersion.

Atomic structure:
Cell: 10.4432 3.3054 10.1442 Å, 90.00 90.00 90.00°
Atoms (fractional coordinates):
Nd: 0.1410 0.1920 0.0000
Nd: 0.3590 0.1920 0.5000
Nd: 0.6410 0.8080 0.0000
Nd: 0.8590 0.8080 0.5000
Mn: 0.1186 0.6825 0.3142
Mn: 0.1191 0.7187 0.6811
Mn: 0.3814 0.6825 0.8142
Mn: 0.3809 0.7187 0.1811
Mn: 0.6191 0.2813 0.6811
Mn: 0.6186 0.3175 0.3142
Mn: 0.8809 0.2813 0.1811
Mn: 0.8814 0.3175 0.8142
O: 0.0222 0.6763 0.1314
O: 0.0418 0.7177 0.8554
O: 0.1946 0.6999 0.5044
O: 0.2484 0.1489 0.7411
O: 0.2516 0.1489 0.2411
O: 0.3054 0.6999 0.0044
O: 0.4582 0.7177 0.3554
O: 0.4778 0.6763 0.6314
O: 0.5222 0.3237 0.1314
O: 0.5418 0.2823 0.8554
O: 0.6946 0.3001 0.5044
O: 0.7484 0.8511 0.7411
O: 0.7516 0.8511 0.2411
O: 0.8054 0.3001 0.0044
O: 0.9582 0.2823 0.3554
O: 0.9778 0.3237 0.6314

The 10 most intense peaks (2θ from 10° to 90°), by intensity:
31.52 deg, I = 100.0; 38.60 deg, I = 69.3; 19.12 deg, I = 56.9; 33.48 deg, I = 52.5; 29.69 deg, I = 48.0; 59.73 deg, I = 38.7; 41.68 deg, I = 36.2; 34.35 deg, I = 31.6; 55.07 deg, I = 23.9; 53.73 deg, I = 23.1